No. 1
For Ba4Sr9Ca2, a crystal structure in Alexandria, relaxed with PBE gives the calculated XRD peak list in this record (CuKα).

Structure:
abc: 10.374 11.753 14.284
angles: 105.15 94.33 101.11
Element x y z (fractional)
Ba: 0.169 0.482 0.118
Ba: 0.170 0.384 0.815
Ba: 0.170 0.888 0.320
Ba: 0.175 0.281 0.511
Ba: 0.825 0.719 0.489
Ba: 0.830 0.112 0.680
Ba: 0.830 0.616 0.185
Ba: 0.831 0.518 0.882
Sr: 0.166 0.691 0.720
Sr: 0.170 0.080 0.913
Sr: 0.170 0.791 0.020
Sr: 0.170 0.982 0.618
Sr: 0.172 0.589 0.421
Sr: 0.173 0.177 0.210
Sr: 0.499 0.242 0.741
Sr: 0.499 0.440 0.348
Sr: 0.499 0.659 0.955
Sr: 0.501 0.341 0.045
Sr: 0.501 0.560 0.652
Sr: 0.501 0.758 0.259
Sr: 0.827 0.823 0.790
Sr: 0.828 0.411 0.579
Sr: 0.830 0.018 0.382
Sr: 0.830 0.209 0.980
Sr: 0.830 0.920 0.087
Sr: 0.834 0.309 0.280
Ca: 0.493 0.860 0.556
Ca: 0.498 0.952 0.851
Ca: 0.502 0.048 0.149
Ca: 0.507 0.140 0.444

Principal peaks in the range 2θ = 10–90°, low angle first:
2theta	d_spacing	I (rel.)
26.30	3.388	1000
26.35	3.382	995
26.51	3.362	989
37.30	2.410	192
37.78	2.381	191
37.91	2.373	188
46.35	1.959	406
46.64	1.947	409
46.73	1.944	408
54.17	1.693	189
60.85	1.522	171
61.72	1.503	130

No. 2
For Ba16Sr7Ca6, a crystal structure in Alexandria, relaxed with PBE gives the calculated XRD peak list in this record (CuKα).

Structure:
abc: 13.686 13.686 13.686
angles: 60.00 60.00 60.00
Element x y z (fractional)
Ba: 0.016 0.661 0.661
Ba: 0.118 0.118 0.118
Ba: 0.118 0.118 0.646
Ba: 0.118 0.646 0.118
Ba: 0.339 0.339 0.339
Ba: 0.339 0.339 0.984
Ba: 0.339 0.984 0.339
Ba: 0.354 0.882 0.882
Ba: 0.646 0.118 0.118
Ba: 0.661 0.016 0.661
Ba: 0.661 0.661 0.016
Ba: 0.661 0.661 0.661
Ba: 0.882 0.354 0.882
Ba: 0.882 0.882 0.354
Ba: 0.882 0.882 0.882
Ba: 0.984 0.339 0.339
Sr: 0.000 0.000 0.000
Sr: 0.000 0.000 0.500
Sr: 0.000 0.500 0.000
Sr: 0.000 0.500 0.500
Sr: 0.500 0.000 0.000
Sr: 0.500 0.000 0.500
Sr: 0.500 0.500 0.000
Ca: 0.259 0.259 0.741
Ca: 0.259 0.741 0.259
Ca: 0.259 0.741 0.741
Ca: 0.741 0.259 0.259
Ca: 0.741 0.259 0.741
Ca: 0.741 0.741 0.259

Principal peaks in the range 2θ = 10–90°, low angle first:
2theta	d_spacing	I (rel.)
18.33	4.839	140
23.89	3.725	272
26.04	3.422	1000
27.26	3.272	302
29.18	3.060	120
37.16	2.419	93
42.55	2.125	148
44.66	2.029	145
45.94	1.975	236
46.69	1.945	167
54.24	1.691	105
73.18	1.293	134

What did the second record say?
For Ba16Sr7Ca6, a crystal structure in Alexandria, relaxed with PBE gives the calculated XRD peak list in this record (CuKα).

Structure:
abc: 13.686 13.686 13.686
angles: 60.00 60.00 60.00
Element x y z (fractional)
Ba: 0.016 0.661 0.661
Ba: 0.118 0.118 0.118
Ba: 0.118 0.118 0.646
Ba: 0.118 0.646 0.118
Ba: 0.339 0.339 0.339
Ba: 0.339 0.339 0.984
Ba: 0.339 0.984 0.339
Ba: 0.354 0.882 0.882
Ba: 0.646 0.118 0.118
Ba: 0.661 0.016 0.661
Ba: 0.661 0.661 0.016
Ba: 0.661 0.661 0.661
Ba: 0.882 0.354 0.882
Ba: 0.882 0.882 0.354
Ba: 0.882 0.882 0.882
Ba: 0.984 0.339 0.339
Sr: 0.000 0.000 0.000
Sr: 0.000 0.000 0.500
Sr: 0.000 0.500 0.000
Sr: 0.000 0.500 0.500
Sr: 0.500 0.000 0.000
Sr: 0.500 0.000 0.500
Sr: 0.500 0.500 0.000
Ca: 0.259 0.259 0.741
Ca: 0.259 0.741 0.259
Ca: 0.259 0.741 0.741
Ca: 0.741 0.259 0.259
Ca: 0.741 0.259 0.741
Ca: 0.741 0.741 0.259

Principal peaks in the range 2θ = 10–90°, low angle first:
2theta	d_spacing	I (rel.)
18.33	4.839	140
23.89	3.725	272
26.04	3.422	1000
27.26	3.272	302
29.18	3.060	120
37.16	2.419	93
42.55	2.125	148
44.66	2.029	145
45.94	1.975	236
46.69	1.945	167
54.24	1.691	105
73.18	1.293	134

Please write out number 2 again, unchanged.
For Ba16Sr7Ca6, a crystal structure in Alexandria, relaxed with PBE gives the calculated XRD peak list in this record (CuKα).

Structure:
abc: 13.686 13.686 13.686
angles: 60.00 60.00 60.00
Element x y z (fractional)
Ba: 0.016 0.661 0.661
Ba: 0.118 0.118 0.118
Ba: 0.118 0.118 0.646
Ba: 0.118 0.646 0.118
Ba: 0.339 0.339 0.339
Ba: 0.339 0.339 0.984
Ba: 0.339 0.984 0.339
Ba: 0.354 0.882 0.882
Ba: 0.646 0.118 0.118
Ba: 0.661 0.016 0.661
Ba: 0.661 0.661 0.016
Ba: 0.661 0.661 0.661
Ba: 0.882 0.354 0.882
Ba: 0.882 0.882 0.354
Ba: 0.882 0.882 0.882
Ba: 0.984 0.339 0.339
Sr: 0.000 0.000 0.000
Sr: 0.000 0.000 0.500
Sr: 0.000 0.500 0.000
Sr: 0.000 0.500 0.500
Sr: 0.500 0.000 0.000
Sr: 0.500 0.000 0.500
Sr: 0.500 0.500 0.000
Ca: 0.259 0.259 0.741
Ca: 0.259 0.741 0.259
Ca: 0.259 0.741 0.741
Ca: 0.741 0.259 0.259
Ca: 0.741 0.259 0.741
Ca: 0.741 0.741 0.259

Principal peaks in the range 2θ = 10–90°, low angle first:
2theta	d_spacing	I (rel.)
18.33	4.839	140
23.89	3.725	272
26.04	3.422	1000
27.26	3.272	302
29.18	3.060	120
37.16	2.419	93
42.55	2.125	148
44.66	2.029	145
45.94	1.975	236
46.69	1.945	167
54.24	1.691	105
73.18	1.293	134

> Which formula does entry 2 have?

Ba16Sr7Ca6